# 1
Calculated powder diffractogram of Ac2RuBr for Cu Kα, from a cell relaxed with GGA-PBE.
No peak broadening, texture or thermal motion is included.

Most intense lines, 10° ≤ 2θ ≤ 90°, by intensity:
(hkl)	d_spacing	Rel. int.
1 0 4	3.200	100
1 1 0	2.161	40
0 1 8	2.382	27
0 0 3	8.233	26
0 1 2	3.582	22
1 0 7	2.567	20
0 2 4	1.791	19
2 1 4	1.379	16
0 1 11	1.925	14
1 1 9	1.698	13

Atomic structure:
abc: 4.3213 4.3213 24.6983
angles: 90.00 90.00 120.00
Space group R-3m (No. 166, hexagonal axes)
Asymmetric unit:
Ac  0.0000  0.0000  0.2313 (multiplicity 6)
Ru  0.0000  0.0000  0.5000 (multiplicity 3)
Br  0.0000  0.0000  0.0000 (multiplicity 3)

=====

# 2
Calculated powder diffractogram of AcS6Br2 for Cu Kα, from a cell relaxed with GGA-PBE.
No peak broadening, texture or thermal motion is included.

Most intense lines, 10° ≤ 2θ ≤ 90°, by intensity:
(hkl)	d_spacing	Rel. int.
0 0 1	8.789	100
0 1 -1	7.022	78
0 1 1	4.853	62
1 1 -1	3.890	57
0 1 2	3.290	41
0 1 0	7.367	41
1 -2 1	3.049	40
1 1 -2	3.312	37
1 2 -2	2.807	26
2 0 0	2.338	25

Atomic structure:
abc: 4.6812 7.8961 9.4247
angles: 110.94 92.36 91.62
Space group P-1 (No. 2)
Asymmetric unit:
Ac  0.0000  0.0000  0.0000 (multiplicity 1)
S  0.0866  0.7239  0.4457 (multiplicity 2)
S  0.0954  0.4996  0.7096 (multiplicity 2)
S  0.1035  0.2820  0.3181 (multiplicity 2)
Br  0.4961  0.8139  0.0956 (multiplicity 2)

=====

# 3
Calculated powder diffractogram of Ac4S6Br for Cu Kα, from a cell relaxed with GGA-PBE.
No peak broadening, texture or thermal motion is included.

Most intense lines, 10° ≤ 2θ ≤ 90°, by intensity:
(hkl)	d_spacing	Rel. int.
2 0 0	3.928	100
1 1 1	3.104	57
2 1 1	2.435	49
2 2 0	2.268	46
2 0 1	2.887	45
1 0 1	3.743	40
2 2 2	1.552	28
2 0 2	1.872	28
3 0 1	2.230	25
4 0 0	1.964	18

Atomic structure:
abc: 9.0706 9.0706 4.2580
angles: 90.00 90.00 120.00
Space group P-6m2 (No. 187)
Asymmetric unit:
Ac  0.0000  0.0000  0.0000 (multiplicity 1)
Ac  0.0188  0.5094  0.5000 (multiplicity 3)
S  0.2103  0.4206  0.0000 (multiplicity 3)
S  0.2786  0.1393  0.5000 (multiplicity 3)
Br  0.6667  0.3333  0.0000 (multiplicity 1)

=====

# 4
Calculated powder diffractogram of Ac3Sb2Br for Cu Kα, from a cell relaxed with GGA-PBE.
No peak broadening, texture or thermal motion is included.

Most intense lines, 10° ≤ 2θ ≤ 90°, by intensity:
(hkl)	d_spacing	Rel. int.
0 4 0	3.348	100
0 0 12	2.367	78
0 4 12	1.933	28
2 0 18	1.498	24
0 2 6	3.866	21
2 4 18	1.367	18
2 8 6	1.495	12
2 8 18	1.116	9
0 8 12	1.365	9
4 0 12	1.675	9

Atomic structure:
abc: 9.4744 13.3661 28.4434
angles: 90.00 90.00 90.00
Space group Fddd (No. 70, origin choice 2)
Asymmetric unit:
Ac  0.1112  0.3750  0.3750 (multiplicity 16)
Ac  0.1184  0.3694  0.2058 (multiplicity 32)
Sb  0.1250  0.1250  0.0401 (multiplicity 16)
Sb  0.1250  0.1250  0.3764 (multiplicity 16)
Br  0.1250  0.1250  0.5423 (multiplicity 16)

=====

# 5
Calculated powder diffractogram of Ac4Si2SeBr for Cu Kα, from a cell relaxed with GGA-PBE.
No peak broadening, texture or thermal motion is included.

Most intense lines, 10° ≤ 2θ ≤ 90°, by intensity:
(hkl)	d_spacing	Rel. int.
2 0 0	3.206	100
1 1 2	3.695	100
2 0 4	2.260	77
0 0 4	3.188	49
2 2 4	1.847	42
2 2 0	2.267	39
4 2 0	1.433	37
3 1 2	1.932	36
4 2 4	1.308	27
2 0 8	1.427	18

Atomic structure:
abc: 6.4120 6.4120 12.7503
angles: 90.00 90.00 90.00
Space group I4/mmm (No. 139)
Asymmetric unit:
Ac  0.0000  0.0000  0.2440 (multiplicity 4)
Ac  0.0000  0.5000  0.0000 (multiplicity 4)
Si  0.0000  0.5000  0.2500 (multiplicity 4)
Se  0.0000  0.0000  0.0000 (multiplicity 2)
Br  0.0000  0.0000  0.5000 (multiplicity 2)

=====

# 6
Calculated powder diffractogram of Ac4Si2Br for Cu Kα, from a cell relaxed with GGA-PBE.
No peak broadening, texture or thermal motion is included.

Most intense lines, 10° ≤ 2θ ≤ 90°, by intensity:
(hkl)	d_spacing	Rel. int.
3 0 1	3.039	100
1 0 3	3.100	56
2 1 1	3.933	46
2 0 2	3.433	43
3 1 2	2.582	42
3 2 1	2.569	42
4 3 1	1.884	35
1 1 2	3.980	28
4 2 2	1.967	22
4 1 3	1.897	20

Atomic structure:
abc: 9.5978 9.5978 9.8259
angles: 90.00 90.00 90.00
Space group I-42d (No. 122)
Asymmetric unit:
Ac  0.0741  0.6812  0.4297 (multiplicity 16)
Si  0.1283  0.7500  0.1250 (multiplicity 8)
Br  0.0000  0.0000  0.5000 (multiplicity 4)

=====

# 7
Calculated powder diffractogram of Ac3Si2Br3 for Cu Kα, from a cell relaxed with GGA-PBE.
No peak broadening, texture or thermal motion is included.

Most intense lines, 10° ≤ 2θ ≤ 90°, by intensity:
(hkl)	d_spacing	Rel. int.
2 1 1	2.763	100
1 1 1	3.752	82
1 1 0	4.715	57
3 0 0	2.722	53
0 0 2	3.099	48
1 1 2	2.590	47
3 1 1	2.127	33
3 0 2	2.045	32
2 2 1	2.203	29
2 1 3	1.717	24

Atomic structure:
abc: 9.4298 9.4298 6.1976
angles: 90.00 90.00 120.00
Space group P6_3/mcm (No. 193)
Asymmetric unit:
Ac  0.0000  0.3811  0.2500 (multiplicity 6)
Si  0.3333  0.6667  0.0000 (multiplicity 4)
Br  0.0000  0.2438  0.7500 (multiplicity 6)

=====

# 8
Calculated powder diffractogram of Ac7TcBr12 for Cu Kα, from a cell relaxed with GGA-PBE.
No peak broadening, texture or thermal motion is included.

Most intense lines, 10° ≤ 2θ ≤ 90°, by intensity:
(hkl)	d_spacing	Rel. int.
3 1 2	3.247	100
1 1 0	8.129	63
4 -3 4	2.339	37
2 5 0	2.255	33
2 3 2	2.827	19
8 -6 2	1.852	16
3 -1 1	4.843	15
1 2 2	3.935	14
10 -1 2	1.431	14
7 -2 6	1.474	11

Atomic structure:
abc: 16.2585 16.2585 11.6870
angles: 90.00 90.00 120.00
Space group R-3 (No. 148, hexagonal axes)
Asymmetric unit:
Ac  0.0000  0.0000  0.0000 (multiplicity 3)
Ac  0.0333  0.1638  0.3585 (multiplicity 18)
Tc  0.0000  0.0000  0.5000 (multiplicity 3)
Br  0.0218  0.5734  0.1557 (multiplicity 18)
Br  0.0354  0.1600  0.8339 (multiplicity 18)